The following is a calculated powder diffraction line list of K3Sm. It was derived from a crystal structure in the Materials Project, relaxed with GGA-PBE, using Cu Kα X-rays.
Neutral-atom scattering factors, no anomalous dispersion.

Structural model:
Cell: 7.8045 7.8045 7.8045 Å, 135.53 135.53 64.70°
Fractional positions:
K  0.0000  0.0000  0.0000
K  0.2500  0.7500  0.5000
K  0.7500  0.2500  0.5000
Sm  0.5000  0.5000  0.0000

Peak list (10 most intense, 2θ = 5–70°, in order of rising 2θ)
d_spacing	intensity
6.593	14
5.390	35
3.528	100
3.297	18
2.953	27
2.589	18
2.200	24
1.945	18
1.797	28
1.764	13


The following is a calculated powder diffraction line list of KSm. It was derived from a crystal structure in the Materials Project, relaxed with GGA-PBE, using Cu Kα X-rays.
Neutral-atom scattering factors, no anomalous dispersion.

Structural model:
Cell: 3.6844 3.6844 7.1734 Å, 90.00 90.00 120.00°
Fractional positions:
K  0.0000  0.0000  0.0000
Sm  0.6667  0.3333  0.5000

Peak list (10 most intense, 2θ = 5–70°, in order of rising 2θ)
d_spacing	intensity
7.173	52
3.587	35
3.191	37
2.915	100
2.384	34
1.913	29
1.842	15
1.639	21
1.557	15
1.458	13


The following is a calculated powder diffraction line list of KSm3. It was derived from a crystal structure in the Materials Project, relaxed with GGA-PBE, using Cu Kα X-rays.
Neutral-atom scattering factors, no anomalous dispersion.

Structural model:
Cell: 6.6175 6.6175 6.6175 Å, 132.96 132.96 68.72°
Fractional positions:
K  0.0000  0.0000  0.0000
Sm  0.2500  0.7500  0.5000
Sm  0.5000  0.5000  0.0000
Sm  0.7500  0.2500  0.5000

Peak list (10 most intense, 2θ = 5–70°, in order of rising 2θ)
d_spacing	intensity
5.463	5
4.756	14
3.083	100
2.731	18
2.641	33
1.899	25
1.868	12
1.637	15
1.597	28
1.542	13